1.
Simulated powder X-ray diffraction pattern of CsTe6I2 for Cu Kα (weighted mean of Kα1 and Kα2), from DFT lattice parameters and positions (PBE).

Top 6 peaks for 2θ from 10° to 90°, in order of rising 2θ:
hkl	two_theta	d (Å)	intensity
1 1 2	21.9	4.061	58
1 2 1	24.6	3.617	100
0 2 4	29.5	3.029	45
2 0 0	32.7	2.736	46
1 3 4	39.3	2.291	41
1 5 2	49.3	1.849	31

```
data_CsTe6I2
_chemical_formula_sum 'Cs2 Te12 I4'
_space_group_name_H-M_alt 'I m m m'
_space_group_IT_number 71
_space_group_name_Hall '-I 2 2'
_cell_length_a 5.4716
_cell_length_b 10.1736
_cell_length_c 15.0842
_cell_angle_alpha 90.00
_cell_angle_beta 90.00
_cell_angle_gamma 90.00
loop_
_atom_site_label
_atom_site_type_symbol
_atom_site_fract_x
_atom_site_fract_y
_atom_site_fract_z
Cs1 Cs 0.0000 0.0000 0.0000
Te1 Te 0.0000 0.3073 0.2672
Te2 Te 0.0000 0.5000 0.1363
I1 I 0.0000 0.2243 0.5000
```

***

2.
Simulated powder X-ray diffraction pattern of LaTi4Cu3O12 for Cu Kα (weighted mean of Kα1 and Kα2), from DFT lattice parameters and positions (PBE).

Top 6 peaks for 2θ from 10° to 90°, in order of rising 2θ:
hkl	two_theta	d (Å)	intensity
1 1 0	16.7	5.321	11
2 2 0	33.7	2.661	100
4 0 0	48.4	1.881	28
4 2 2	60.2	1.536	48
4 4 0	70.8	1.330	13
6 2 0	80.8	1.190	16

```
data_LaTi4Cu3O12
_chemical_formula_sum 'La2 Ti8 Cu6 O24'
_space_group_name_H-M_alt 'I m -3'
_space_group_IT_number 204
_space_group_name_Hall '-I 2 2 3'
_cell_length_a 7.5253
_cell_length_b 7.5253
_cell_length_c 7.5253
_cell_angle_alpha 90.00
_cell_angle_beta 90.00
_cell_angle_gamma 90.00
loop_
_atom_site_label
_atom_site_type_symbol
_atom_site_fract_x
_atom_site_fract_y
_atom_site_fract_z
La1 La 0.0000 0.0000 0.0000
Ti1 Ti 0.2500 0.2500 0.2500
Cu1 Cu 0.0000 0.0000 0.5000
O1 O 0.0000 0.2989 0.1794
```

***

Repeat the first record exactly.
Simulated powder X-ray diffraction pattern of CsTe6I2 for Cu Kα (weighted mean of Kα1 and Kα2), from DFT lattice parameters and positions (PBE).

Top 6 peaks for 2θ from 10° to 90°, in order of rising 2θ:
hkl	two_theta	d (Å)	intensity
1 1 2	21.9	4.061	58
1 2 1	24.6	3.617	100
0 2 4	29.5	3.029	45
2 0 0	32.7	2.736	46
1 3 4	39.3	2.291	41
1 5 2	49.3	1.849	31

```
data_CsTe6I2
_chemical_formula_sum 'Cs2 Te12 I4'
_space_group_name_H-M_alt 'I m m m'
_space_group_IT_number 71
_space_group_name_Hall '-I 2 2'
_cell_length_a 5.4716
_cell_length_b 10.1736
_cell_length_c 15.0842
_cell_angle_alpha 90.00
_cell_angle_beta 90.00
_cell_angle_gamma 90.00
loop_
_atom_site_label
_atom_site_type_symbol
_atom_site_fract_x
_atom_site_fract_y
_atom_site_fract_z
Cs1 Cs 0.0000 0.0000 0.0000
Te1 Te 0.0000 0.3073 0.2672
Te2 Te 0.0000 0.5000 0.1363
I1 I 0.0000 0.2243 0.5000
```